Record 1
This entry pairs a crystal structure of TbSm3Al8 with its theoretical PXRD pattern. Radiation: λ = 1.5418 Å (Cu Kα). Structure: DFT lattice parameters and positions (PBE).
Lines closer than 0.1° are merged.

Structure:
```
data_TbSm3Al8
_space_group_name_H-M_alt 'R 3 m'
_space_group_IT_number 160
_space_group_name_Hall 'R 3 -2"'
_cell_length_a 5.6175
_cell_length_b 5.6175
_cell_length_c 27.6269
_cell_angle_alpha 90.00
_cell_angle_beta 90.00
_cell_angle_gamma 120.00
loop_
_atom_site_label
_atom_site_type_symbol
_atom_site_fract_x
_atom_site_fract_y
_atom_site_fract_z
Tb1 Tb 0.0000 0.0000 0.0000
Sm1 Sm 0.0000 0.0000 0.3754
Sm2 Sm 0.0000 0.0000 0.5003
Sm3 Sm 0.0000 0.0000 0.8756
Al1 Al 0.0000 0.0000 0.1879
Al2 Al 0.0000 0.0000 0.6877
Al3 Al 0.9996 0.4998 0.4374
Al4 Al 0.0002 0.5001 0.9382
```

Principal peaks in the range 2θ from 5° to 70°, by angle:
(hkl)	2θ/deg	intensity
0 1 2	19.3	61
1 1 0	31.8	100
1 0 10	37.5	76
2 0 2	37.5	25
3 0 0	56.7	29
2 1 10	60.5	19
3 0 6	60.5	12
0 2 16	66.4	11

Record 2
This entry pairs a crystal structure of Tb3Sm2Al3 with its theoretical PXRD pattern. Radiation: λ = 1.5418 Å (Cu Kα). Structure: DFT lattice parameters and positions (PBE).
Lines closer than 0.1° are merged.

Structure:
```
data_Tb3Sm2Al3
_space_group_name_H-M_alt 'P m m m'
_space_group_IT_number 47
_space_group_name_Hall '-P 2 2'
_cell_length_a 4.8297
_cell_length_b 4.8366
_cell_length_c 8.9209
_cell_angle_alpha 90.00
_cell_angle_beta 90.00
_cell_angle_gamma 90.00
loop_
_atom_site_label
_atom_site_type_symbol
_atom_site_fract_x
_atom_site_fract_y
_atom_site_fract_z
Tb1 Tb 0.0000 0.0000 0.0000
Tb2 Tb 0.0000 0.5000 0.2761
Sm1 Sm 0.5000 0.0000 0.2693
Al1 Al 0.0000 0.0000 0.5000
Al2 Al 0.5000 0.5000 0.0000
Al3 Al 0.5000 0.5000 0.5000
```

Principal peaks in the range 2θ from 5° to 70°, by angle:
(hkl)	2θ/deg	intensity
0 0 2	19.9	15
1 1 0	26.1	19
1 1 2	33.0	100
2 0 0	37.2	38
0 0 4	40.4	12
2 2 0	53.6	13
2 0 4	56.1	18
3 1 2	64.4	29

Record 3
This entry pairs a crystal structure of TbSmAl4 with its theoretical PXRD pattern. Radiation: λ = 1.5418 Å (Cu Kα). Structure: DFT lattice parameters and positions (PBE).
Lines closer than 0.1° are merged.

Structure:
```
data_TbSmAl4
_space_group_name_H-M_alt 'P -3 m 1'
_space_group_IT_number 164
_space_group_name_Hall '-P 3 2"'
_cell_length_a 5.5969
_cell_length_b 5.5969
_cell_length_c 9.2110
_cell_angle_alpha 90.00
_cell_angle_beta 90.00
_cell_angle_gamma 120.00
loop_
_atom_site_label
_atom_site_type_symbol
_atom_site_fract_x
_atom_site_fract_y
_atom_site_fract_z
Tb1 Tb 0.3333 0.6667 0.0675
Sm1 Sm 0.3333 0.6667 0.4314
Al1 Al 0.0000 0.0000 0.0000
Al2 Al 0.0000 0.0000 0.5000
Al3 Al 0.1712 0.3424 0.7526
```

Principal peaks in the range 2θ from 5° to 70°, by angle:
(hkl)	2θ/deg	intensity
1 0 0	18.3	40
0 0 2	19.3	19
1 0 1	20.7	33
1 1 0	32.0	74
1 0 3	34.6	100
1 1 2	37.6	66
0 2 1	38.4	31
2 1 3	58.7	42